Record 1
Structure and simulated powder X-ray diffraction pattern of KSi4O9 (a cell relaxed with PBE; Cu Kα X-rays).
Lines closer than 0.1° are merged.

Top 8 peaks for 15 to 90 degrees two-theta, most intense first:
two_theta, I (rel.)
30.2, 100
34.2, 73
22.7, 36
19.5, 31
22.9, 24
58.7, 24
72.0, 18
41.4, 17

Crystal structure
```
data_KSi4O9
_chemical_formula_sum 'K1 Si4 O9'
_cell_length_a 5.249
_cell_length_b 5.249
_cell_length_c 7.781
_cell_angle_alpha 90.00
_cell_angle_beta 90.00
_cell_angle_gamma 120.00
_space_group_name_H-M_alt 'P 1'
_space_group_IT_number 1
_space_group_name_Hall 'P 1'
loop_
_atom_site_label
_atom_site_type_symbol
_atom_site_fract_x
_atom_site_fract_y
_atom_site_fract_z
K1 K 0.000 0.000 0.000
Si1 Si 0.333 0.667 0.295
Si2 Si 0.333 0.667 0.705
Si3 Si 0.667 0.333 0.295
Si4 Si 0.667 0.333 0.705
O1 O 0.000 0.000 0.500
O2 O 0.000 0.500 0.213
O3 O 0.000 0.500 0.787
O4 O 0.333 0.667 0.500
O5 O 0.500 0.000 0.213
O6 O 0.500 0.000 0.787
O7 O 0.500 0.500 0.213
O8 O 0.500 0.500 0.787
O9 O 0.667 0.333 0.500
```


Record 2
Structure and simulated powder X-ray diffraction pattern of K3SiO3 (a cell relaxed with PBE; Cu Kα X-rays).
Lines closer than 0.1° are merged.

Top 8 peaks for 15 to 90 degrees two-theta, most intense first:
two_theta, I (rel.)
27.6, 100
24.3, 75
30.5, 39
32.6, 31
42.3, 28
37.5, 27
29.4, 27
53.2, 25

Crystal structure
```
data_K3SiO3
_chemical_formula_sum 'K12 Si4 O12'
_cell_length_a 8.596
_cell_length_b 8.596
_cell_length_c 9.889
_cell_angle_alpha 90.00
_cell_angle_beta 90.00
_cell_angle_gamma 66.36
_space_group_name_H-M_alt 'P 1'
_space_group_IT_number 1
_space_group_name_Hall 'P 1'
loop_
_atom_site_label
_atom_site_type_symbol
_atom_site_fract_x
_atom_site_fract_y
_atom_site_fract_z
K1 K 0.006 0.342 0.878
K2 K 0.158 0.494 0.622
K3 K 0.205 0.795 0.844
K4 K 0.295 0.705 0.344
K5 K 0.342 0.006 0.122
K6 K 0.494 0.158 0.378
K7 K 0.506 0.842 0.622
K8 K 0.658 0.994 0.878
K9 K 0.705 0.295 0.656
K10 K 0.795 0.205 0.156
K11 K 0.842 0.506 0.378
K12 K 0.994 0.658 0.122
Si1 Si 0.088 0.088 0.500
Si2 Si 0.412 0.412 0.000
Si3 Si 0.588 0.588 0.000
Si4 Si 0.912 0.912 0.500
O1 O 0.025 0.267 0.581
O2 O 0.079 0.921 0.596
O3 O 0.233 0.475 0.919
O4 O 0.267 0.025 0.419
O5 O 0.421 0.579 0.096
O6 O 0.475 0.233 0.081
O7 O 0.525 0.767 0.919
O8 O 0.579 0.421 0.904
O9 O 0.733 0.975 0.581
O10 O 0.767 0.525 0.081
O11 O 0.921 0.079 0.404
O12 O 0.975 0.733 0.419
```


Record 3
Structure and simulated powder X-ray diffraction pattern of K3SiO3 (a cell relaxed with PBE; Cu Kα X-rays).
Lines closer than 0.1° are merged.

Top 8 peaks for 15 to 90 degrees two-theta, most intense first:
two_theta, I (rel.)
30.0, 100
25.3, 65
32.1, 51
56.0, 45
44.6, 31
41.3, 30
73.2, 23
54.7, 21

Crystal structure
```
data_K3SiO3
_chemical_formula_sum 'K6 Si2 O6'
_cell_length_a 8.122
_cell_length_b 8.122
_cell_length_c 5.580
_cell_angle_alpha 90.00
_cell_angle_beta 90.00
_cell_angle_gamma 120.00
_space_group_name_H-M_alt 'P 1'
_space_group_IT_number 1
_space_group_name_Hall 'P 1'
loop_
_atom_site_label
_atom_site_type_symbol
_atom_site_fract_x
_atom_site_fract_y
_atom_site_fract_z
K1 K 0.173 0.345 0.250
K2 K 0.173 0.827 0.250
K3 K 0.345 0.173 0.750
K4 K 0.655 0.827 0.250
K5 K 0.827 0.173 0.750
K6 K 0.827 0.655 0.750
Si1 Si 0.333 0.667 0.750
Si2 Si 0.667 0.333 0.250
O1 O 0.219 0.438 0.750
O2 O 0.219 0.781 0.750
O3 O 0.438 0.219 0.250
O4 O 0.562 0.781 0.750
O5 O 0.781 0.219 0.250
O6 O 0.781 0.562 0.250
```


Record 4
Structure and simulated powder X-ray diffraction pattern of K2SrSiO4 (a cell relaxed with PBE; Cu Kα X-rays).
Lines closer than 0.1° are merged.

Top 8 peaks for 15 to 90 degrees two-theta, most intense first:
two_theta, I (rel.)
25.8, 100
32.7, 97
16.7, 84
37.1, 75
34.2, 75
24.3, 54
38.4, 54
47.1, 40

Crystal structure
```
data_K2SrSiO4
_chemical_formula_sum 'K4 Sr2 Si2 O8'
_cell_length_a 14.077
_cell_length_b 13.138
_cell_length_c 6.536
_cell_angle_alpha 84.26
_cell_angle_beta 68.22
_cell_angle_gamma 27.51
_space_group_name_H-M_alt 'P 1'
_space_group_IT_number 1
_space_group_name_Hall 'P 1'
loop_
_atom_site_label
_atom_site_type_symbol
_atom_site_fract_x
_atom_site_fract_y
_atom_site_fract_z
K1 K 0.078 0.078 0.672
K2 K 0.328 0.328 0.922
K3 K 0.672 0.672 0.078
K4 K 0.922 0.922 0.328
Sr1 Sr 0.125 0.125 0.125
Sr2 Sr 0.875 0.875 0.875
Si1 Si 0.375 0.375 0.375
Si2 Si 0.625 0.625 0.625
O1 O 0.084 0.599 0.491
O2 O 0.327 0.491 0.599
O3 O 0.401 0.916 0.673
O4 O 0.491 0.327 0.084
O5 O 0.509 0.673 0.916
O6 O 0.599 0.084 0.327
O7 O 0.673 0.509 0.401
O8 O 0.916 0.401 0.509
```